1.
Structure and computed powder XRD pattern of NdSmPa2N4 (a DFT-relaxed cell (PBE, Alexandria); Cu Kα X-rays).
No peak broadening, texture or thermal motion is included.

Unit cell a=5.0506 b=5.0506 c=9.9543 alpha=90.00 beta=90.00 gamma=90.00
Space group I-4m2 (No. 119)
Inequivalent atoms, fractional coordinates:
Nd 0.0000 0.0000 0.0000
Sm 0.0000 0.5000 0.7500
Pa 0.0000 0.0000 0.5000
Pa 0.0000 0.5000 0.2500
N 0.0000 0.0000 0.2667
N 0.0000 0.5000 0.0155

Top 10 peaks for 2θ from 15° to 90°, by angle:
- hkl 1 0 1, 19.71°, intensity 8
- hkl 1 1 2, 30.82°, intensity 100
- hkl 2 0 0, 35.55°, intensity 46
- hkl 0 0 4, 36.09°, intensity 22
- hkl 2 2 0, 51.15°, intensity 16
- hkl 2 0 4, 51.56°, intensity 32
- hkl 3 1 2, 60.92°, intensity 31
- hkl 1 1 6, 61.64°, intensity 15
- hkl 2 2 4, 64.20°, intensity 16
- hkl 3 1 6, 84.14°, intensity 13

2.
Structure and computed powder XRD pattern of SrNd2Pa3N8 (a DFT-relaxed cell (PBE, Alexandria); Cu Kα X-rays).
No peak broadening, texture or thermal motion is included.

Unit cell a=7.1345 b=7.1345 c=17.3802 alpha=90.00 beta=90.00 gamma=120.00
Space group R3m (No. 160, hexagonal axes)
Inequivalent atoms, fractional coordinates:
Sr 0.0000 0.0000 0.0000
Nd 0.0000 0.0000 0.2416
Nd 0.0000 0.0000 0.6216
Pa 0.1682 0.3365 0.4541
N 0.0000 0.0000 0.3868
N 0.0000 0.0000 0.8496
N 0.0504 0.5252 0.3866
N 0.1832 0.3665 0.1909

Top 10 peaks for 2θ from 15° to 90°, by angle:
- hkl 0 0 3, 15.26°, intensity 48
- hkl 1 0 4, 25.04°, intensity 19
- hkl 0 2 1, 29.39°, intensity 100
- hkl 0 1 5, 29.48°, intensity 29
- hkl 2 0 2, 30.72°, intensity 47
- hkl 0 2 4, 35.66°, intensity 28
- hkl 1 2 5, 46.84°, intensity 34
- hkl 2 2 0, 51.22°, intensity 27
- hkl 2 0 8, 51.42°, intensity 26
- hkl 0 4 2, 60.97°, intensity 22

3.
Structure and computed powder XRD pattern of NdPaTaN4 (a DFT-relaxed cell (PBE, Alexandria); Cu Kα X-rays).
No peak broadening, texture or thermal motion is included.

Unit cell a=5.6892 b=12.3662 c=5.6973 alpha=90.00 beta=90.00 gamma=90.00
Space group Cmcm (No. 63)
Inequivalent atoms, fractional coordinates:
Nd 0.0000 0.1056 0.2500
Pa 0.0000 0.3917 0.2500
Ta 0.0000 0.2398 0.7500
N 0.0000 0.0795 0.7500
N 0.0000 0.4375 0.7500
N 0.2500 0.2500 0.0000

Top 10 peaks for 2θ from 15° to 90°, by angle:
- hkl 1 3 1, 31.05°, intensity 100
- hkl 2 0 0, 31.43°, intensity 63
- hkl 1 5 1, 42.92°, intensity 13
- hkl 0 6 0, 43.93°, intensity 8
- hkl 2 0 2, 45.04°, intensity 28
- hkl 2 6 0, 55.01°, intensity 13
- hkl 3 3 1, 55.71°, intensity 40
- hkl 2 6 2, 64.73°, intensity 10
- hkl 3 3 3, 74.34°, intensity 9
- hkl 4 0 2, 74.54°, intensity 11

4.
Structure and computed powder XRD pattern of Nd2PaTe2N2 (a DFT-relaxed cell (PBE, Alexandria); Cu Kα X-rays).
No peak broadening, texture or thermal motion is included.

Unit cell a=4.4440 b=4.4440 c=16.6893 alpha=90.00 beta=90.00 gamma=90.00
Space group I4/mmm (No. 139)
Inequivalent atoms, fractional coordinates:
Nd 0.0000 0.0000 0.1062
Pa 0.0000 0.0000 0.5000
Te 0.0000 0.0000 0.3149
N 0.0000 0.5000 0.0000

Top 10 peaks for 2θ from 15° to 90°, by angle:
- hkl 1 1 0, 28.40°, intensity 78
- hkl 1 0 5, 33.58°, intensity 100
- hkl 2 0 0, 40.60°, intensity 35
- hkl 2 1 5, 53.67°, intensity 53
- hkl 2 2 0, 58.77°, intensity 12
- hkl 1 1 10, 63.07°, intensity 12
- hkl 3 1 0, 66.54°, intensity 14
- hkl 3 0 5, 69.41°, intensity 12
- hkl 2 0 10, 70.58°, intensity 10
- hkl 3 2 5, 83.63°, intensity 15

5.
Structure and computed powder XRD pattern of NdPaTiN4 (a DFT-relaxed cell (PBE, Alexandria); Cu Kα X-rays).
No peak broadening, texture or thermal motion is included.

Unit cell a=5.5250 b=12.3498 c=5.5309 alpha=90.00 beta=90.00 gamma=90.00
Space group Cmcm (No. 63)
Inequivalent atoms, fractional coordinates:
Nd 0.0000 0.1069 0.2500
Pa 0.0000 0.3863 0.2500
Ti 0.0000 0.2365 0.7500
N 0.0000 0.0810 0.7500
N 0.0000 0.4434 0.7500
N 0.2500 0.2500 0.0000

Top 10 peaks for 2θ from 15° to 90°, by angle:
- hkl 1 1 1, 23.88°, intensity 54
- hkl 0 4 0, 28.92°, intensity 21
- hkl 1 3 1, 31.56°, intensity 100
- hkl 2 0 0, 32.39°, intensity 71
- hkl 2 4 0, 43.97°, intensity 45
- hkl 2 0 2, 46.46°, intensity 32
- hkl 2 4 2, 55.67°, intensity 23
- hkl 3 3 1, 57.27°, intensity 56
- hkl 3 3 3, 76.74°, intensity 23
- hkl 4 4 2, 84.42°, intensity 16

6.
Structure and computed powder XRD pattern of Nd10Pb4N3 (a DFT-relaxed cell (PBE, Alexandria); Cu Kα X-rays).
No peak broadening, texture or thermal motion is included.

Unit cell a=5.0126 b=5.0126 c=36.6345 alpha=90.00 beta=90.00 gamma=90.00
Space group I4/mmm (No. 139)
Inequivalent atoms, fractional coordinates:
Nd 0.0000 0.0000 0.0684
Nd 0.0000 0.0000 0.2081
Nd 0.0000 0.5000 0.0000
Nd 0.0000 0.5000 0.1364
Pb 0.0000 0.0000 0.2991
Pb 0.0000 0.0000 0.4316
N 0.0000 0.0000 0.0000
N 0.0000 0.0000 0.1403

Top 10 peaks for 2θ from 15° to 90°, by angle:
- hkl 1 1 6, 29.13°, intensity 34
- hkl 1 1 8, 31.93°, intensity 100
- hkl 0 0 14, 34.27°, intensity 21
- hkl 2 0 0, 35.83°, intensity 56
- hkl 2 0 14, 50.42°, intensity 28
- hkl 2 2 0, 51.57°, intensity 20
- hkl 1 1 22, 61.53°, intensity 20
- hkl 3 1 8, 61.95°, intensity 31
- hkl 2 2 14, 63.39°, intensity 14
- hkl 3 1 22, 84.36°, intensity 17

7.
Structure and computed powder XRD pattern of Nd6Pb2N (a DFT-relaxed cell (PBE, Alexandria); Cu Kα X-rays).
No peak broadening, texture or thermal motion is included.

Unit cell a=10.1411 b=10.1411 c=10.1411 alpha=90.00 beta=90.00 gamma=90.00
Space group Fm-3m (No. 225)
Inequivalent atoms, fractional coordinates:
Nd 0.0000 0.0000 0.2444
Pb 0.2500 0.2500 0.2500
N 0.0000 0.0000 0.0000

Top 10 peaks for 2θ from 15° to 90°, by angle:
- hkl 2 0 0, 17.49°, intensity 2
- hkl 2 2 0, 24.83°, intensity 3
- hkl 2 2 2, 30.54°, intensity 100
- hkl 4 0 0, 35.41°, intensity 53
- hkl 4 4 0, 50.94°, intensity 38
- hkl 6 2 2, 60.56°, intensity 43
- hkl 4 4 4, 63.56°, intensity 13
- hkl 8 0 0, 74.91°, intensity 6
- hkl 6 6 2, 83.02°, intensity 18
- hkl 8 4 0, 85.68°, intensity 17

8.
Structure and computed powder XRD pattern of PmNd5N4 (a DFT-relaxed cell (PBE, Alexandria); Cu Kα X-rays).
No peak broadening, texture or thermal motion is included.

Unit cell a=15.9096 b=3.6224 c=7.4904 alpha=90.00 beta=102.97 gamma=90.00
Space group C2/m (No. 12)
Inequivalent atoms, fractional coordinates:
Pm 0.0000 0.0000 0.0000
Nd 0.0000 0.0000 0.5000
Nd 0.1587 0.5000 0.3048
Nd 0.1642 0.5000 0.8498
N 0.0018 0.5000 0.2496
N 0.1661 0.0000 0.0827

Top 10 peaks for 2θ from 15° to 90°, by angle:
- hkl 2 0 2, 29.29°, intensity 50
- hkl 4 0 -2, 29.62°, intensity 51
- hkl 3 1 0, 30.13°, intensity 100
- hkl 1 1 -2, 34.45°, intensity 88
- hkl 6 0 0, 34.72°, intensity 43
- hkl 5 1 2, 49.50°, intensity 29
- hkl 7 1 -2, 49.92°, intensity 31
- hkl 0 2 0, 50.38°, intensity 15
- hkl 9 1 0, 59.38°, intensity 28
- hkl 6 2 0, 62.64°, intensity 15

What did the seventh record say?
Structure and computed powder XRD pattern of Nd6Pb2N (a DFT-relaxed cell (PBE, Alexandria); Cu Kα X-rays).
No peak broadening, texture or thermal motion is included.

Unit cell a=10.1411 b=10.1411 c=10.1411 alpha=90.00 beta=90.00 gamma=90.00
Space group Fm-3m (No. 225)
Inequivalent atoms, fractional coordinates:
Nd 0.0000 0.0000 0.2444
Pb 0.2500 0.2500 0.2500
N 0.0000 0.0000 0.0000

Top 10 peaks for 2θ from 15° to 90°, by angle:
- hkl 2 0 0, 17.49°, intensity 2
- hkl 2 2 0, 24.83°, intensity 3
- hkl 2 2 2, 30.54°, intensity 100
- hkl 4 0 0, 35.41°, intensity 53
- hkl 4 4 0, 50.94°, intensity 38
- hkl 6 2 2, 60.56°, intensity 43
- hkl 4 4 4, 63.56°, intensity 13
- hkl 8 0 0, 74.91°, intensity 6
- hkl 6 6 2, 83.02°, intensity 18
- hkl 8 4 0, 85.68°, intensity 17